Starting from DFT lattice parameters and positions (GGA+U), the powder diffractogram of Li4MnCo2O7 was computed for Cu Kα (λ = 1.5418 Å).
Peak positions follow from Bragg's law for the DFT cell and can differ from measured ones.

Cell and atoms:
Cell: 2.985 5.107 17.257 Å, 85.33 88.73 75.37°
Space group P1 (No. 1)
Unique sites:
Li1 0.000 0.000 0.000
Li2 0.022 0.983 0.497
Li3 0.154 0.707 0.783
Li4 0.310 0.399 0.068
Li5 0.448 0.126 0.355
Li6 0.590 0.842 0.642
Li7 0.757 0.544 0.934
Li8 0.873 0.270 0.212
Mn1 0.310 0.414 0.569
Mn2 0.441 0.128 0.861
Co1 0.163 0.701 0.282
Co2 0.581 0.843 0.136
Co3 0.735 0.558 0.423
Co4 0.890 0.260 0.713
O1 0.043 0.884 0.888
O2 0.112 0.824 0.386
O3 0.246 0.580 0.181
O4 0.267 0.533 0.676
O5 0.359 0.288 0.465
O6 0.369 0.273 0.956
O7 0.506 0.954 0.243
O8 0.510 0.001 0.753
O9 0.636 0.685 0.529
O10 0.658 0.701 0.047
O11 0.834 0.376 0.821
O12 0.837 0.429 0.321
O13 0.922 0.099 0.111
O14 0.989 0.136 0.610

Top 10 peaks for 10 to 80 degrees two-theta, in order of rising 2θ:
10.3 deg, intensity 9, hkl 0 0 2
18.3 deg, intensity 100, hkl 0 1 1
34.8 deg, intensity 18, hkl 1 0 3
36.1 deg, intensity 13, hkl 1 1 -3
36.6 deg, intensity 11, hkl 0 0 7
41.7 deg, intensity 33, hkl 1 -1 2
43.9 deg, intensity 28, hkl 1 2 -2
44.6 deg, intensity 26, hkl 0 1 8
62.3 deg, intensity 8, hkl 2 1 0
64.8 deg, intensity 9, hkl 1 1 -10